Ba5Sm8Mn4O21: calculated X-ray powder pattern (Cu Kα (weighted mean of Kα1 and Kα2)), based on a crystal structure in Alexandria, relaxed with GGA+U.
No peak broadening, texture or thermal motion is included.

Atomic structure:
```
data_Ba5Sm8Mn4O21
_chemical_formula_sum 'Ba10 Sm16 Mn8 O42'
_cell_length_a 14.2627
_cell_length_b 14.2627
_cell_length_c 5.8907
_cell_angle_alpha 90.00
_cell_angle_beta 90.00
_cell_angle_gamma 90.00
_space_group_name_H-M_alt 'I 4/m'
_space_group_IT_number 87
_space_group_name_Hall '-I 4'
loop_
_atom_site_label
_atom_site_type_symbol
_atom_site_fract_x
_atom_site_fract_y
_atom_site_fract_z
Ba1 Ba 0.0000 0.0000 0.0000
Ba2 Ba 0.0320 0.3630 0.5000
Sm1 Sm 0.0892 0.8577 0.5000
Sm2 Sm 0.1690 0.2475 0.0000
Mn1 Mn 0.0402 0.7493 0.0000
O1 O 0.0000 0.0000 0.5000
O2 O 0.0344 0.3757 0.0000
O3 O 0.0470 0.1786 0.2492
O4 O 0.1484 0.7420 0.2479
```

Main lines, low angle first (10° ≤ 2θ ≤ 90°):
h k l  2theta  Rel. int.
2 3 1  27.2  44
4 1 1  30.0  100
0 0 2  30.3  39
4 3 1  34.9  29
2 4 2  41.7  18
4 1 3  53.7  20